Record 1
Diffraction record for YU2Te6. The powder XRD pattern is computed, not measured: it uses DFT lattice parameters and positions (PBE) and Cu Kα.
Intensities are scaled so that the largest is 100.

Peak list (10 most intense, 2θ = 10–80°, by angle)
h k l  Position (°2θ)  I (rel.)
1 0 3  19.7  100
1 1 2  23.5  52
1 1 4  27.4  28
2 0 2  32.4  54
1 1 6  33.1  45
2 0 4  35.4  41
2 1 3  37.3  40
1 1 8  39.8  40
2 0 6  40.1  24
2 2 0  44.9  37

Structural model:
```
data_YU2Te6
_chemical_formula_sum 'Y2 U4 Te12'
_symmetry_space_group_name_H-M 'I -4 2 m'
_symmetry_Int_Tables_number 121
_symmetry_space_group_name_Hall 'I -4 2'
_cell_length_a 5.715
_cell_length_b 5.715
_cell_length_c 21.872
_cell_angle_alpha 90.00
_cell_angle_beta 90.00
_cell_angle_gamma 90.00
loop_
_atom_site_label
_atom_site_fract_x
_atom_site_fract_y
_atom_site_fract_z
Y1 0.000 0.000 0.000
U1 0.000 0.000 0.311
Te1 0.000 0.500 0.250
Te2 0.234 0.234 0.590
```



Record 2
Diffraction record for Tm5CuIr4. The powder XRD pattern is computed, not measured: it uses DFT lattice parameters and positions (PBE) and Cu Kα.
Intensities are scaled so that the largest is 100.

Peak list (10 most intense, 2θ = 10–80°, by angle)
h k l  Position (°2θ)  I (rel.)
0 0 2  10.3  3
0 0 3  15.4  1
1 0 1  27.0  1
1 0 5  37.3  100
1 1 0  37.8  48
0 0 10  53.1  9
2 0 0  54.6  17
1 1 10  67.0  18
2 1 5  68.0  35
2 0 10  79.6  11

Structural model:
```
data_Tm5CuIr4
_chemical_formula_sum 'Tm5 Cu1 Ir4'
_symmetry_space_group_name_H-M 'P 4/m m m'
_symmetry_Int_Tables_number 123
_symmetry_space_group_name_Hall '-P 4 2'
_cell_length_a 3.362
_cell_length_b 3.362
_cell_length_c 17.254
_cell_angle_alpha 90.00
_cell_angle_beta 90.00
_cell_angle_gamma 90.00
loop_
_atom_site_label
_atom_site_fract_x
_atom_site_fract_y
_atom_site_fract_z
Tm1 0.000 0.000 0.000
Tm2 0.000 0.000 0.199
Tm3 0.000 0.000 0.397
Cu1 0.500 0.500 0.500
Ir1 0.500 0.500 0.100
Ir2 0.500 0.500 0.300
```



Record 3
Diffraction record for B2PPtRhC. The powder XRD pattern is computed, not measured: it uses DFT lattice parameters and positions (PBE) and Cu Kα.
Intensities are scaled so that the largest is 100.

Peak list (10 most intense, 2θ = 10–80°, by angle)
h k l  Position (°2θ)  I (rel.)
0 0 1  13.3  73
2 0 0  23.0  100
2 0 -1  25.9  42
0 0 2  26.9  53
2 0 1  27.4  71
1 1 0  33.8  97
2 0 -2  34.4  57
1 1 1  36.8  59
1 1 -2  43.2  81
3 1 1  50.5  51

Structural model:
```
data_B2PPtRhC
_chemical_formula_sum 'B4 P2 Pt2 Rh2 C2'
_symmetry_space_group_name_H-M 'C 1 m 1'
_symmetry_Int_Tables_number 8
_cell_length_a 7.759
_cell_length_b 2.824
_cell_length_c 6.653
_cell_angle_alpha 90.00
_cell_angle_beta 93.68
_cell_angle_gamma 90.00
loop_
_symmetry_equiv_pos_as_xyz
'x,y,z'
'x,-y,z'
'x+1/2,y+1/2,z'
'x+1/2,-y+1/2,z'
loop_
_atom_site_label
_atom_site_fract_x
_atom_site_fract_y
_atom_site_fract_z
B1 0.000 0.000 0.000
B2 0.214 0.000 0.065
P1 0.385 0.500 0.445
Pt1 0.487 0.000 0.700
Rh1 0.106 0.500 0.294
C1 0.405 0.000 0.021
```



Record 4
Diffraction record for Li3Sn2Pd4. The powder XRD pattern is computed, not measured: it uses DFT lattice parameters and positions (PBE) and Cu Kα.
Intensities are scaled so that the largest is 100.

Peak list (10 most intense, 2θ = 10–80°, by angle)
h k l  Position (°2θ)  I (rel.)
0 0 1  10.6  19
0 0 2  21.4  29
2 0 1  25.4  64
2 0 3  40.0  100
3 1 0  40.4  97
3 1 2  46.2  24
2 2 3  58.2  33
1 1 6  72.4  17
5 1 3  73.3  34
6 0 0  73.6  17

Structural model:
```
data_Li3Sn2Pd4
_chemical_formula_sum 'Li6 Sn4 Pd8'
_symmetry_space_group_name_H-M 'C 1 2/m 1'
_symmetry_Int_Tables_number 12
_cell_length_a 7.727
_cell_length_b 4.459
_cell_length_c 8.322
_cell_angle_alpha 90.00
_cell_angle_beta 90.07
_cell_angle_gamma 90.00
loop_
_symmetry_equiv_pos_as_xyz
'x,y,z'
'-x,-y,-z'
'-x,y,-z'
'x,-y,z'
'x+1/2,y+1/2,z'
'-x+1/2,-y+1/2,-z'
'-x+1/2,y+1/2,-z'
'x+1/2,-y+1/2,z'
loop_
_atom_site_label
_atom_site_fract_x
_atom_site_fract_y
_atom_site_fract_z
Li1 0.000 0.000 0.000
Li2 0.166 0.500 0.564
Sn1 0.167 0.500 0.223
Pd1 0.000 0.000 0.327
Pd2 0.166 0.500 0.894
```



Record 5
Diffraction record for Mg5InGa6. The powder XRD pattern is computed, not measured: it uses DFT lattice parameters and positions (PBE) and Cu Kα.
Intensities are scaled so that the largest is 100.

Peak list (10 most intense, 2θ = 10–80°, by angle)
h k l  Position (°2θ)  I (rel.)
0 2 0  21.3  10
1 2 3  36.3  100
2 0 0  41.2  18
0 0 6  41.8  17
0 4 0  43.4  15
2 0 6  60.1  11
2 4 0  61.4  11
3 2 3  71.8  13
1 2 9  72.7  12
1 6 3  75.0  10

Structural model:
```
data_Mg5InGa6
_chemical_formula_sum 'Mg10 In2 Ga12'
_symmetry_space_group_name_H-M 'I m m m'
_symmetry_Int_Tables_number 71
_symmetry_space_group_name_Hall '-I 2 2'
_cell_length_a 4.387
_cell_length_b 8.335
_cell_length_c 12.973
_cell_angle_alpha 90.00
_cell_angle_beta 90.00
_cell_angle_gamma 90.00
loop_
_atom_site_label
_atom_site_fract_x
_atom_site_fract_y
_atom_site_fract_z
Mg1 0.000 0.000 0.000
Mg2 0.000 0.000 0.338
Mg3 0.000 0.500 0.331
In1 0.000 0.500 0.000
Ga1 0.000 0.244 0.171
Ga2 0.000 0.262 0.500
```



Record 6
Diffraction record for Pr3Dy2Er7. The powder XRD pattern is computed, not measured: it uses DFT lattice parameters and positions (PBE) and Cu Kα.
Intensities are scaled so that the largest is 100.

Peak list (10 most intense, 2θ = 10–80°, by angle)
h k l  Position (°2θ)  I (rel.)
1 1 1  29.7  29
0 0 6  30.8  100
1 1 2  31.3  58
2 0 3  33.8  36
1 1 -4  34.8  41
1 1 -5  37.9  16
3 1 -1  50.3  19
0 2 0  51.8  13
2 0 -9  52.7  23
0 2 6  61.5  28

Structural model:
```
data_Pr3Dy2Er7
_chemical_formula_sum 'Pr3 Dy2 Er7'
_symmetry_space_group_name_H-M 'P 1 2/m 1'
_symmetry_Int_Tables_number 10
_cell_length_a 6.340
_cell_length_b 3.531
_cell_length_c 17.532
_cell_angle_alpha 90.00
_cell_angle_beta 96.28
_cell_angle_gamma 90.00
loop_
_symmetry_equiv_pos_as_xyz
'x,y,z'
'-x,-y,-z'
'-x,y,-z'
'x,-y,z'
loop_
_atom_site_label
_atom_site_fract_x
_atom_site_fract_y
_atom_site_fract_z
Pr1 0.000 0.000 0.000
Pr2 0.046 0.500 0.659
Dy1 0.445 0.000 0.326
Er1 0.231 0.500 0.165
Er2 0.247 0.000 0.500
Er3 0.277 0.000 0.835
Er4 0.500 0.500 0.000
```